This entry pairs a crystal structure of Rb5Ag2Au with its computed X-ray diffraction stick pattern. Radiation: λ = 1.5418 Å (Cu Kα). Structure: a cell relaxed with GGA-PBE.
Neutral-atom scattering factors, no anomalous dispersion.

Atomic structure:
```
Rb5Ag2Au
1.0
-4.5932 4.5932 8.7049
4.5932 -4.5932 8.7049
4.5932 4.5932 -8.7049
Rb Ag Au
10 4 2
Direct
0.0000 0.0000 0.0000
0.0289 0.5289 0.8518
0.1770 0.0289 0.5000
0.3230 0.8230 0.8518
0.4711 0.3230 0.5000
0.5000 0.5000 0.0000
0.5289 0.6770 0.5000
0.6770 0.1770 0.1482
0.8230 0.9711 0.5000
0.9711 0.4711 0.1482
0.1092 0.3908 0.5000
0.3908 0.8908 0.2816
0.6092 0.1092 0.7184
0.8908 0.6092 0.5000
0.2500 0.2500 0.0000
0.7500 0.7500 0.0000
```

Most intense lines, 10 to 90 degrees two-theta, by angle:
- 2θ = 17.03°, I 51
- 2θ = 24.62°, I 19
- 2θ = 26.58°, I 100
- 2θ = 27.46°, I 29
- 2θ = 28.25°, I 78
- 2θ = 30.78°, I 75
- 2θ = 33.80°, I 27
- 2θ = 35.61°, I 17
- 2θ = 37.21°, I 17
- 2θ = 46.86°, I 21
- 2θ = 52.54°, I 21
- 2θ = 55.18°, I 28

This entry pairs a crystal structure of AcPmHg6 with its computed X-ray diffraction stick pattern. Radiation: λ = 1.5418 Å (Cu Kα). Structure: a cell relaxed with GGA-PBE.
Neutral-atom scattering factors, no anomalous dispersion.

Atomic structure:
```
AcPmHg6
1.0
5.1143 0.0000 0.0000
0.0000 3.4981 6.0017
0.0000 -3.4981 6.0017
Ac Pm Hg
1 1 6
Direct
0.0000 0.0000 0.0000
0.5000 0.6831 0.6831
0.0000 0.0159 0.4950
0.0000 0.4950 0.0159
0.0000 0.5161 0.5161
0.5000 0.1791 0.1791
0.5000 0.1954 0.6463
0.5000 0.6463 0.1954
```

Most intense lines, 10 to 90 degrees two-theta, by angle:
- 2θ = 29.56°, I 23
- 2θ = 29.77°, I 13
- 2θ = 34.47°, I 100
- 2θ = 34.66°, I 48
- 2θ = 35.09°, I 32
- 2θ = 46.52°, I 14
- 2θ = 52.31°, I 9
- 2θ = 52.71°, I 19
- 2θ = 62.56°, I 18
- 2θ = 64.28°, I 14
- 2θ = 64.55°, I 10
- 2θ = 64.91°, I 21

This entry pairs a crystal structure of Sm3HgAu with its computed X-ray diffraction stick pattern. Radiation: λ = 1.5418 Å (Cu Kα). Structure: a cell relaxed with GGA-PBE.
Neutral-atom scattering factors, no anomalous dispersion.

Atomic structure:
```
Sm3HgAu
1.0
2.6425 -9.9489 0.0000
2.6425 9.9489 0.0000
0.0000 0.0000 5.2782
Sm Hg Au
6 2 2
Direct
0.0630 0.9370 0.7500
0.2491 0.7509 0.7500
0.4342 0.5658 0.7500
0.5658 0.4342 0.2500
0.7509 0.2491 0.2500
0.9370 0.0630 0.2500
0.1534 0.8466 0.2500
0.8466 0.1534 0.7500
0.3407 0.6593 0.2500
0.6593 0.3407 0.7500
```

Most intense lines, 10 to 90 degrees two-theta, by angle:
- 2θ = 32.89°, I 100
- 2θ = 33.95°, I 51
- 2θ = 39.85°, I 7
- 2θ = 45.59°, I 8
- 2θ = 48.77°, I 18
- 2θ = 58.04°, I 15
- 2θ = 60.08°, I 36
- 2θ = 66.59°, I 4
- 2θ = 68.97°, I 9
- 2θ = 80.91°, I 8
- 2θ = 81.50°, I 8
- 2θ = 88.97°, I 5